(1)
Structure and simulated X-ray powder pattern of Y7C2I12N (a PBE-relaxed structure; Cu Ka).
Peak positions follow from Bragg's law for the DFT cell and can differ from measured ones.

Structural model:
Lattice parameters (Å, degrees): 9.943 10.959 17.087 101.96 92.68 112.91
Space group P-1 (No. 2)
Symmetry-distinct sites (fractional):
Y: 0.017 0.436 0.179 (multiplicity 2)
Y: 0.049 0.261 0.690 (multiplicity 2)
Y: 0.142 0.457 0.981 (multiplicity 2)
Y: 0.161 0.545 0.386 (multiplicity 2)
Y: 0.216 0.750 0.150 (multiplicity 2)
Y: 0.365 0.873 0.355 (multiplicity 2)
Y: 0.433 0.569 0.237 (multiplicity 2)
C: 0.134 0.675 0.284 (multiplicity 2)
C: 0.252 0.635 0.266 (multiplicity 2)
I: 0.045 0.159 0.850 (multiplicity 2)
I: 0.062 0.738 0.698 (multiplicity 2)
I: 0.107 0.401 0.549 (multiplicity 2)
I: 0.158 0.013 0.408 (multiplicity 2)
I: 0.204 0.803 0.971 (multiplicity 2)
I: 0.225 0.301 0.109 (multiplicity 2)
I: 0.291 0.529 0.812 (multiplicity 2)
I: 0.328 0.161 0.665 (multiplicity 2)
I: 0.375 0.800 0.517 (multiplicity 2)
I: 0.400 0.432 0.373 (multiplicity 2)
I: 0.448 0.040 0.232 (multiplicity 2)
I: 0.469 0.674 0.077 (multiplicity 2)
N: 0.058 0.547 0.084 (multiplicity 2)

Largest 6 diffraction maxima, in order of falling intensity, 10° ≤ 2θ ≤ 80°:
28.6 deg, rel. 100.0
28.2 deg, rel. 57.1
24.6 deg, rel. 46.6
41.1 deg, rel. 28.6
40.8 deg, rel. 20.6
25.0 deg, rel. 18.5



(2)
Structure and simulated X-ray powder pattern of Nd4C2I (a PBE-relaxed structure; Cu Ka).
Peak positions follow from Bragg's law for the DFT cell and can differ from measured ones.

Structural model:
Lattice parameters (Å, degrees): 3.7965 3.7965 43.6733 90.00 90.00 120.00
Space group R-3m (No. 166, hexagonal axes)
Symmetry-distinct sites (fractional):
Nd: 0.0000 0.0000 0.1229 (multiplicity 6)
Nd: 0.0000 0.0000 0.2739 (multiplicity 6)
C: 0.0000 0.0000 0.4238 (multiplicity 6)
I: 0.0000 0.0000 0.0000 (multiplicity 3)

Largest 6 diffraction maxima, in order of falling intensity, 10° ≤ 2θ ≤ 80°:
30.7 deg, rel. 100.0
31.8 deg, rel. 54.1
47.9 deg, rel. 35.8
58.0 deg, rel. 32.3
27.2 deg, rel. 23.4
38.3 deg, rel. 20.8



(3)
Structure and simulated X-ray powder pattern of Nd8Ni3CI4 (a PBE-relaxed structure; Cu Ka).
Peak positions follow from Bragg's law for the DFT cell and can differ from measured ones.

Structural model:
Lattice parameters (Å, degrees): 14.195 8.181 9.271 90.00 120.71 90.00
Space group C2/m (No. 12)
Symmetry-distinct sites (fractional):
Nd: 0.020 0.237 0.322 (multiplicity 8)
Nd: 0.218 0.000 0.678 (multiplicity 4)
Nd: 0.228 0.500 0.683 (multiplicity 4)
Ni: 0.000 0.500 0.500 (multiplicity 2)
Ni: 0.250 0.250 0.500 (multiplicity 4)
C: 0.000 0.000 0.500 (multiplicity 2)
I: 0.000 0.000 0.000 (multiplicity 2)
I: 0.000 0.500 0.000 (multiplicity 2)
I: 0.250 0.250 0.000 (multiplicity 4)

Largest 6 diffraction maxima, in order of falling intensity, 10° ≤ 2θ ≤ 80°:
29.3 deg, rel. 100.0
44.2 deg, rel. 39.2
31.4 deg, rel. 22.8
39.4 deg, rel. 20.9
53.9 deg, rel. 17.2
33.7 deg, rel. 16.7